Li2FeSiO4: simulated X-ray powder pattern (Cu Kα), based on a cell relaxed with PBE+U.
Intensities are scaled so that the largest is 100.

Top 10 peaks for 2θ = 5–70°, in order of rising 2θ:
- d = 6.335 Å, 2θ = 13.98°, I 100.0, hkl 1 0 0
- d = 4.237 Å, 2θ = 20.97°, I 37.3, hkl 1 0 -2
- d = 3.943 Å, 2θ = 22.55°, I 40.4, hkl 1 1 0
- d = 3.243 Å, 2θ = 27.51°, I 21.4, hkl 1 1 -2
- d = 3.163 Å, 2θ = 28.21°, I 54.6, hkl 1 1 2
- d = 2.744 Å, 2θ = 32.63°, I 42.9, hkl 0 0 4
- d = 2.695 Å, 2θ = 33.25°, I 37.2, hkl 2 0 2
- d = 2.518 Å, 2θ = 35.65°, I 59.6, hkl 0 2 0
- d = 1.857 Å, 2θ = 49.06°, I 27.3, hkl 0 2 4
- d = 1.584 Å, 2θ = 58.26°, I 16.8, hkl 4 0 0

Structure:
```
32
Lattice="6.3410 0.0000 0.0000 0.0000 5.0369 0.0000 -0.4622 0.0000 10.9762" Properties=species:S:1:pos:R:3 pbc="T T T"
Li -0.1578 0.9507 4.5562
Li -0.3889 1.5677 10.0443
Li 1.3299 0.9658 1.9124
Li 1.0988 1.5526 7.4005
Li 4.7800 3.4843 3.5757
Li 4.5489 4.0710 9.0638
Li 6.2677 3.4691 0.9319
Li 6.0367 4.0861 6.4200
Fe 3.0064 3.5668 1.0274
Fe 2.7753 3.9885 6.5155
Fe 3.1036 1.0483 4.4607
Fe 2.8725 1.4701 9.9488
Si 1.3932 3.4597 3.7197
Si 1.1621 4.0956 9.2078
Si 4.7168 0.9412 1.7684
Si 4.4857 1.5772 7.2565
O -0.1457 3.5301 9.9851
O 0.0854 4.0252 4.4970
O 1.2120 3.5537 7.6383
O 1.4431 4.0016 2.1503
O 1.1763 0.7126 9.2049
O 1.4074 1.8059 3.7168
O 2.6056 3.6021 9.9449
O 2.8367 3.9532 4.4568
O 3.0422 1.0837 6.5193
O 3.2733 1.4348 1.0312
O 4.4715 3.2310 7.2594
O 4.7026 4.3243 1.7713
O 4.4358 1.0353 8.8259
O 4.6669 1.4831 3.3378
O 5.7935 1.0117 6.4792
O 6.0246 1.5067 0.9911
```